For La2Si2O7, a crystal structure in the Materials Project, relaxed with GGA-PBE gives the calculated X-ray powder pattern in this record (Cu Kα (weighted mean of Kα1 and Kα2)).
Lines closer than 0.1° are merged.

The 6 most intense peaks (5° ≤ 2θ ≤ 70°), by intensity:
d 3.452, 2θ 25.81, I = 1000; d 7.361, 2θ 12.02, I = 316; d 2.071, 2θ 43.71, I = 296; d 3.343, 2θ 26.66, I = 295; d 3.127, 2θ 28.55, I = 214; d 2.764, 2θ 32.40, I = 179

a b c (Å): 5.5272 8.8512 14.3452
angles (deg): 90.00 112.50 90.00
Element x y z (fractional)
La: 0.0178 0.1885 0.2665
La: 0.0178 0.3115 0.7665
La: 0.3320 0.1080 0.5892
La: 0.3320 0.3920 0.0892
La: 0.6680 0.6080 0.9108
La: 0.6680 0.8920 0.4108
La: 0.9822 0.6885 0.2335
La: 0.9822 0.8115 0.7335
Si: 0.2502 0.7453 0.0264
Si: 0.2502 0.7547 0.5264
Si: 0.4559 0.5056 0.6791
Si: 0.4559 0.9944 0.1791
Si: 0.5441 0.0056 0.8209
Si: 0.5441 0.4944 0.3209
Si: 0.7498 0.2453 0.4736
Si: 0.7498 0.2547 0.9736
O: 0.0626 0.7420 0.9068
O: 0.0626 0.7580 0.4068
O: 0.0832 0.6447 0.0802
O: 0.0832 0.8553 0.5802
O: 0.2606 0.0876 0.7598
O: 0.2606 0.4124 0.2598
O: 0.2806 0.5235 0.7495
O: 0.2806 0.9765 0.2495
O: 0.2991 0.5805 0.5676
O: 0.2991 0.9195 0.0676
O: 0.4684 0.6702 0.3300
O: 0.4684 0.8298 0.8300
O: 0.4728 0.1533 0.4475
O: 0.4728 0.3467 0.9475
O: 0.5272 0.6533 0.0525
O: 0.5272 0.8467 0.5525
O: 0.5316 0.1702 0.1700
O: 0.5316 0.3298 0.6700
O: 0.7009 0.0805 0.9324
O: 0.7009 0.4195 0.4324
O: 0.7194 0.0235 0.7505
O: 0.7194 0.4765 0.2505
O: 0.7394 0.5876 0.7402
O: 0.7394 0.9124 0.2402
O: 0.9168 0.1447 0.4198
O: 0.9168 0.3553 0.9198
O: 0.9374 0.2420 0.5932
O: 0.9374 0.2580 0.0932

For TmCuGe, a crystal structure in the Materials Project, relaxed with GGA-PBE gives the calculated X-ray powder pattern in this record (Cu Kα (weighted mean of Kα1 and Kα2)).
Lines closer than 0.1° are merged.

The 6 most intense peaks (5° ≤ 2θ ≤ 70°), by intensity:
d 2.573, 2θ 34.88, I = 1000; d 2.098, 2θ 43.11, I = 468; d 1.626, 2θ 56.59, I = 288; d 1.375, 2θ 68.20, I = 257; d 3.634, 2θ 24.49, I = 195; d 1.821, 2θ 50.10, I = 104

a b c (Å): 4.1964 4.1964 7.2840
angles (deg): 90.00 90.00 120.00
Element x y z (fractional)
Tm: 0.0000 0.0000 0.0000
Tm: 0.0000 0.0000 0.5000
Cu: 0.3333 0.6667 0.2500
Cu: 0.6667 0.3333 0.7500
Ge: 0.3333 0.6667 0.7500
Ge: 0.6667 0.3333 0.2500

For ThB4, a crystal structure in the Materials Project, relaxed with GGA-PBE gives the calculated X-ray powder pattern in this record (Cu Kα (weighted mean of Kα1 and Kα2)).
Lines closer than 0.1° are merged.

The 6 most intense peaks (5° ≤ 2θ ≤ 70°), by intensity:
d 2.549, 2θ 35.21, I = 1000; d 3.245, 2θ 27.49, I = 800; d 4.120, 2θ 21.57, I = 689; d 2.723, 2θ 32.90, I = 634; d 3.628, 2θ 24.54, I = 504; d 1.618, 2θ 56.90, I = 425

a b c (Å): 7.2556 7.2556 4.1195
angles (deg): 90.00 90.00 90.00
Element x y z (fractional)
Th: 0.1860 0.3140 0.0000
Th: 0.3140 0.8140 0.0000
Th: 0.6860 0.1860 0.0000
Th: 0.8140 0.6860 0.0000
B: 0.0000 0.0000 0.2011
B: 0.0000 0.0000 0.7989
B: 0.0389 0.8249 0.5000
B: 0.0896 0.5896 0.5000
B: 0.1751 0.0389 0.5000
B: 0.3249 0.5389 0.5000
B: 0.4104 0.0896 0.5000
B: 0.4611 0.3249 0.5000
B: 0.5000 0.5000 0.2011
B: 0.5000 0.5000 0.7989
B: 0.5389 0.6751 0.5000
B: 0.5896 0.9104 0.5000
B: 0.6751 0.4611 0.5000
B: 0.8249 0.9611 0.5000
B: 0.9104 0.4104 0.5000
B: 0.9611 0.1751 0.5000

For LuAl10Os2, a crystal structure in the Materials Project, relaxed with GGA-PBE gives the calculated X-ray powder pattern in this record (Cu Kα (weighted mean of Kα1 and Kα2)).
Lines closer than 0.1° are merged.

The 6 most intense peaks (5° ≤ 2θ ≤ 70°), by intensity:
d 2.231, 2θ 40.43, I = 1000; d 3.227, 2θ 27.64, I = 739; d 3.405, 2θ 26.17, I = 679; d 5.114, 2θ 17.34, I = 668; d 2.282, 2θ 39.49, I = 625; d 1.596, 2θ 57.78, I = 611

a b c (Å): 6.8545 6.8545 9.1290
angles (deg): 90.00 90.00 96.52
Element x y z (fractional)
Lu: 0.1312 0.8688 0.7500
Lu: 0.8688 0.1312 0.2500
Al: 0.1482 0.4183 0.7500
Al: 0.1546 0.8454 0.1008
Al: 0.1546 0.8454 0.3992
Al: 0.2169 0.4811 0.2500
Al: 0.2242 0.2242 0.0000
Al: 0.2242 0.2242 0.5000
Al: 0.3760 0.6240 0.5464
Al: 0.3760 0.6240 0.9536
Al: 0.4183 0.1482 0.2500
Al: 0.4811 0.2169 0.7500
Al: 0.5189 0.7831 0.2500
Al: 0.5817 0.8518 0.7500
Al: 0.6240 0.3760 0.0464
Al: 0.6240 0.3760 0.4536
Al: 0.7758 0.7758 0.0000
Al: 0.7758 0.7758 0.5000
Al: 0.7831 0.5189 0.7500
Al: 0.8454 0.1546 0.6008
Al: 0.8454 0.1546 0.8992
Al: 0.8518 0.5817 0.2500
Os: 0.0000 0.5000 0.0000
Os: 0.0000 0.5000 0.5000
Os: 0.5000 0.0000 0.0000
Os: 0.5000 0.0000 0.5000

For LiCuPO4, a crystal structure in the Materials Project, relaxed with GGA-PBE gives the calculated X-ray powder pattern in this record (Cu Kα (weighted mean of Kα1 and Kα2)).
Lines closer than 0.1° are merged.

The 6 most intense peaks (5° ≤ 2θ ≤ 70°), by intensity:
d 5.858, 2θ 15.12, I = 1000; d 2.796, 2θ 32.01, I = 666; d 8.883, 2θ 9.96, I = 526; d 3.950, 2θ 22.51, I = 432; d 2.787, 2θ 32.12, I = 395; d 2.474, 2θ 36.31, I = 276

a b c (Å): 5.7737 6.1163 9.2342
angles (deg): 76.40 79.37 78.10
Element x y z (fractional)
Li: 0.1661 0.3653 0.3912
Li: 0.3268 0.5274 0.7432
Li: 0.6732 0.4726 0.2568
Li: 0.8339 0.6347 0.6088
Cu: 0.1938 0.0567 0.7218
Cu: 0.2780 0.1560 0.0891
Cu: 0.7220 0.8440 0.9109
Cu: 0.8062 0.9433 0.2782
P: 0.1771 0.7048 0.0401
P: 0.3152 0.8348 0.4137
P: 0.6848 0.1652 0.5863
P: 0.8229 0.2952 0.9599
O: 0.0916 0.2270 0.8885
O: 0.1356 0.6920 0.3927
O: 0.1709 0.7426 0.8693
O: 0.2727 0.8489 0.5824
O: 0.2745 0.4570 0.1119
O: 0.2803 0.0806 0.3151
O: 0.3499 0.8461 0.0714
O: 0.4198 0.2858 0.6260
O: 0.5802 0.7142 0.3740
O: 0.6501 0.1539 0.9286
O: 0.7197 0.9194 0.6849
O: 0.7255 0.5430 0.8881
O: 0.7273 0.1511 0.4176
O: 0.8291 0.2574 0.1307
O: 0.8644 0.3080 0.6073
O: 0.9084 0.7730 0.1115

For Ca2Al2Sn2O9, a crystal structure in the Materials Project, relaxed with GGA-PBE gives the calculated X-ray powder pattern in this record (Cu Kα (weighted mean of Kα1 and Kα2)).
Lines closer than 0.1° are merged.

The 6 most intense peaks (5° ≤ 2θ ≤ 70°), by intensity:
d 2.885, 2θ 31.00, I = 1000; d 5.807, 2θ 15.26, I = 762; d 3.484, 2θ 25.57, I = 568; d 3.191, 2θ 27.96, I = 529; d 2.735, 2θ 32.75, I = 375; d 2.622, 2θ 34.20, I = 329

a b c (Å): 9.0995 5.5615 15.0861
angles (deg): 90.00 90.00 90.00
Element x y z (fractional)
Ca: 0.0673 0.1377 0.1458
Ca: 0.0673 0.8623 0.6458
Ca: 0.4327 0.3623 0.6458
Ca: 0.4327 0.6377 0.1458
Ca: 0.5673 0.3623 0.8542
Ca: 0.5673 0.6377 0.3542
Ca: 0.9327 0.1377 0.3542
Ca: 0.9327 0.8623 0.8542
Al: 0.1567 0.3100 0.5284
Al: 0.1567 0.6900 0.0284
Al: 0.3433 0.1900 0.0284
Al: 0.3433 0.8100 0.5284
Al: 0.6567 0.1900 0.4716
Al: 0.6567 0.8100 0.9716
Al: 0.8433 0.3100 0.9716
Al: 0.8433 0.6900 0.4716
Sn: 0.1551 0.3661 0.8341
Sn: 0.1551 0.6339 0.3341
Sn: 0.3449 0.1339 0.3341
Sn: 0.3449 0.8661 0.8341
Sn: 0.6551 0.1339 0.1659
Sn: 0.6551 0.8661 0.6659
Sn: 0.8449 0.3661 0.6659
Sn: 0.8449 0.6339 0.1659
O: 0.0000 0.4715 0.2500
O: 0.0000 0.5285 0.7500
O: 0.0144 0.2285 0.9264
O: 0.0144 0.7715 0.4264
O: 0.1609 0.3076 0.4096
O: 0.1609 0.6924 0.9096
O: 0.1672 0.0353 0.7718
O: 0.1672 0.9647 0.2718
O: 0.2279 0.4196 0.0716
O: 0.2279 0.5804 0.5716
O: 0.2721 0.0804 0.5716
O: 0.2721 0.9196 0.0716
O: 0.3328 0.4647 0.2718
O: 0.3328 0.5353 0.7718
O: 0.3391 0.1924 0.9096
O: 0.3391 0.8076 0.4096
O: 0.4856 0.2715 0.4264
O: 0.4856 0.7285 0.9264
O: 0.5000 0.0285 0.7500
O: 0.5000 0.9715 0.2500
O: 0.5144 0.2715 0.0736
O: 0.5144 0.7285 0.5736
O: 0.6609 0.1924 0.5904
O: 0.6609 0.8076 0.0904
O: 0.6672 0.4647 0.2282
O: 0.6672 0.5353 0.7282
O: 0.7279 0.0804 0.9284
O: 0.7279 0.9196 0.4284
O: 0.7721 0.4196 0.4284
O: 0.7721 0.5804 0.9284
O: 0.8328 0.0353 0.7282
O: 0.8328 0.9647 0.2282
O: 0.8391 0.3076 0.0904
O: 0.8391 0.6924 0.5904
O: 0.9856 0.2285 0.5736
O: 0.9856 0.7715 0.0736

For SmPt, a crystal structure in the Materials Project, relaxed with GGA-PBE gives the calculated X-ray powder pattern in this record (Cu Kα (weighted mean of Kα1 and Kα2)).
Lines closer than 0.1° are merged.

The 6 most intense peaks (5° ≤ 2θ ≤ 70°), by intensity:
d 2.542, 2θ 35.31, I = 1000; d 2.285, 2θ 39.44, I = 939; d 2.846, 2θ 31.44, I = 715; d 2.295, 2θ 39.25, I = 504; d 2.634, 2θ 34.03, I = 433; d 1.731, 2θ 52.90, I = 249

a b c (Å): 7.2531 4.5909 5.6551
angles (deg): 90.00 90.00 90.00
Element x y z (fractional)
Sm: 0.1825 0.2500 0.1375
Sm: 0.3175 0.7500 0.6375
Sm: 0.6825 0.2500 0.3625
Sm: 0.8175 0.7500 0.8625
Pt: 0.0443 0.2500 0.6521
Pt: 0.4557 0.7500 0.1521
Pt: 0.5443 0.2500 0.8479
Pt: 0.9557 0.7500 0.3479

For K2CuTeO7, a crystal structure in the Materials Project, relaxed with GGA-PBE gives the calculated X-ray powder pattern in this record (Cu Kα (weighted mean of Kα1 and Kα2)).
Lines closer than 0.1° are merged.

The 6 most intense peaks (5° ≤ 2θ ≤ 70°), by intensity:
d 5.933, 2θ 14.93, I = 1000; d 2.689, 2θ 33.32, I = 594; d 5.015, 2θ 17.68, I = 552; d 3.284, 2θ 27.16, I = 512; d 3.098, 2θ 28.82, I = 510; d 4.790, 2θ 18.52, I = 502

a b c (Å): 5.6806 5.6806 11.9309
angles (deg): 94.84 94.84 71.56
Element x y z (fractional)
K: 0.0141 0.5533 0.6757
K: 0.4467 0.9859 0.8243
K: 0.5533 0.0141 0.1757
K: 0.9859 0.4467 0.3243
Cu: 0.5000 0.5000 0.0000
Cu: 0.5000 0.5000 0.5000
Te: 0.0000 0.5000 0.0000
Te: 0.5000 0.0000 0.5000
O: 0.1284 0.8716 0.2500
O: 0.1446 0.1504 0.5056
O: 0.1504 0.1446 0.0056
O: 0.2480 0.4947 0.8924
O: 0.2773 0.5250 0.1090
O: 0.4750 0.7227 0.3910
O: 0.4947 0.2480 0.3924
O: 0.5053 0.7520 0.6076
O: 0.5250 0.2773 0.6090
O: 0.7227 0.4750 0.8910
O: 0.7520 0.5053 0.1076
O: 0.8496 0.8554 0.9944
O: 0.8554 0.8496 0.4944
O: 0.8716 0.1284 0.7500

For Al2Cu3O6, a crystal structure in the Materials Project, relaxed with GGA-PBE gives the calculated X-ray powder pattern in this record (Cu Kα (weighted mean of Kα1 and Kα2)).
Lines closer than 0.1° are merged.

The 6 most intense peaks (5° ≤ 2θ ≤ 70°), by intensity:
d 2.405, 2θ 37.39, I = 1000; d 2.486, 2θ 36.14, I = 724; d 5.642, 2θ 15.71, I = 582; d 2.459, 2θ 36.55, I = 532; d 2.532, 2θ 35.46, I = 368; d 2.821, 2θ 31.72, I = 364

a b c (Å): 5.8920 5.8920 8.8307
angles (deg): 119.65 119.65 28.30
Element x y z (fractional)
Al: 0.1656 0.1656 0.3274
Al: 0.8344 0.8344 0.6726
Cu: 0.1646 0.1646 0.8293
Cu: 0.5000 0.5000 0.5000
Cu: 0.8354 0.8354 0.1707
O: 0.0186 0.0186 0.8430
O: 0.2947 0.2947 0.7739
O: 0.3545 0.3545 0.5367
O: 0.6455 0.6455 0.4633
O: 0.7053 0.7053 0.2261
O: 0.9814 0.9814 0.1570